Starting from a cell relaxed with PBE, the X-ray diffraction stick pattern of Er5Sc3Se8 was computed for Cu Kα.
Peak positions follow from Bragg's law for the DFT cell and can differ from measured ones.

Peak list (6 most intense, 10° ≤ 2θ ≤ 90°, sorted by position)
two_theta, intensity
31.79, 100
45.51, 37
45.64, 36
56.58, 19
75.43, 16
84.19, 18

Structure:
```
data_Er5Sc3Se8
_space_group_name_H-M_alt 'R -3 m'
_space_group_IT_number 166
_space_group_name_Hall '-R 3 2"'
_cell_length_a 7.9724
_cell_length_b 7.9724
_cell_length_c 19.4493
_cell_angle_alpha 90.00
_cell_angle_beta 90.00
_cell_angle_gamma 120.00
loop_
_atom_site_label
_atom_site_fract_x
_atom_site_fract_y
_atom_site_fract_z
Er1 0.0000 0.0000 0.0000
Er2 0.0000 0.0000 0.5000
Er3 0.0000 0.5000 0.0000
Sc1 0.0000 0.5000 0.5000
Se1 0.0000 0.0000 0.2462
Se2 0.0052 0.5026 0.7526
```



Starting from a cell relaxed with PBE, the X-ray diffraction stick pattern of Rb3Pt2Pb2 was computed for Cu Kα.
Peak positions follow from Bragg's law for the DFT cell and can differ from measured ones.

Peak list (6 most intense, 10° ≤ 2θ ≤ 90°, sorted by position)
two_theta, intensity
12.21, 69
16.75, 60
17.17, 40
31.97, 40
32.24, 100
33.66, 35

Structure:
```
data_Rb3Pt2Pb2
_space_group_name_H-M_alt 'P b c m'
_space_group_IT_number 57
_space_group_name_Hall '-P 2c 2b'
_cell_length_a 7.2474
_cell_length_b 9.1047
_cell_length_c 14.7256
_cell_angle_alpha 90.00
_cell_angle_beta 90.00
_cell_angle_gamma 90.00
loop_
_atom_site_label
_atom_site_fract_x
_atom_site_fract_y
_atom_site_fract_z
Rb1 0.1337 0.1062 0.0947
Rb2 0.3264 0.6982 0.7500
Pt1 0.3862 0.0224 0.5898
Pb1 0.2104 0.0766 0.7500
Pb2 0.4204 0.7500 0.0000
```



Starting from a cell relaxed with PBE, the X-ray diffraction stick pattern of LaIn2Pd8 was computed for Cu Kα.
Peak positions follow from Bragg's law for the DFT cell and can differ from measured ones.

Peak list (6 most intense, 10° ≤ 2θ ≤ 90°, sorted by position)
two_theta, intensity
37.60, 100
37.81, 96
43.02, 67
45.39, 28
62.46, 21
75.45, 23

Structure:
```
data_LaIn2Pd8
_space_group_name_H-M_alt 'C 1 2/m 1'
_space_group_IT_number 12
_space_group_name_Hall '-C 2y'
_cell_length_a 14.7039
_cell_length_b 4.2010
_cell_length_c 6.6094
_cell_angle_alpha 90.00
_cell_angle_beta 107.78
_cell_angle_gamma 90.00
loop_
_atom_site_label
_atom_site_fract_x
_atom_site_fract_y
_atom_site_fract_z
La1 0.0000 0.0000 0.0000
In1 0.2196 0.5000 0.6598
Pd1 0.0405 0.5000 0.7188
Pd2 0.0951 0.0000 0.4695
Pd3 0.1464 0.5000 0.2103
Pd4 0.1819 0.0000 0.9170
```



Starting from a cell relaxed with PBE, the X-ray diffraction stick pattern of Nd2Ga6Rh was computed for Cu Kα.
Peak positions follow from Bragg's law for the DFT cell and can differ from measured ones.

Peak list (6 most intense, 10° ≤ 2θ ≤ 90°, sorted by position)
two_theta, intensity
28.36, 56
34.92, 100
40.54, 89
44.37, 27
58.68, 52
70.14, 28

Structure:
```
data_Nd2Ga6Rh
_space_group_name_H-M_alt 'F m -3 m'
_space_group_IT_number 225
_space_group_name_Hall '-F 4 2 3'
_cell_length_a 8.9002
_cell_length_b 8.9002
_cell_length_c 8.9002
_cell_angle_alpha 90.00
_cell_angle_beta 90.00
_cell_angle_gamma 90.00
loop_
_atom_site_label
_atom_site_fract_x
_atom_site_fract_y
_atom_site_fract_z
Nd1 0.2500 0.2500 0.2500
Ga1 0.0000 0.0000 0.2169
Rh1 0.0000 0.0000 0.5000
```